Record 1
Calculated X-ray powder pattern of CaAs5 for Cu Kα, 1.54184 Å, from a DFT-relaxed cell (GGA-PBE, Alexandria).
No peak broadening, texture or thermal motion is included.

Structural model:
```
6
Lattice="3.8136 0.0000 0.0000 0.0000 3.8136 0.0000 0.0000 0.0000 9.9860" Properties=species:S:1:pos:R:3 pbc="T T T"
Ca 0.0000 0.0000 0.0000
As 0.0000 0.0000 3.7768
As 0.0000 0.0000 6.2092
As 1.9068 1.9068 1.2004
As 1.9068 1.9068 4.9930
As 1.9068 1.9068 8.7856
```

The 6 most intense peaks (10° ≤ 2θ ≤ 90°), low angle first:
- 2θ 33.22, intensity 100
- 2θ 35.81, intensity 91
- 2θ 47.69, intensity 35
- 2θ 51.66, intensity 40
- 2θ 61.05, intensity 37
- 2θ 72.94, intensity 28

Record 2
Calculated X-ray powder pattern of CrN2 for Cu Kα, 1.54184 Å, from a DFT-relaxed cell (GGA-PBE, Alexandria).
No peak broadening, texture or thermal motion is included.

Structural model:
```
3
Lattice="2.7249 0.0000 0.0000 -1.3625 2.3598 0.0000 0.0000 0.0000 3.7102" Properties=species:S:1:pos:R:3 pbc="T T T"
Cr 0.0000 0.0000 0.0000
N 1.3625 0.7866 1.1798
N 1.3625 0.7866 2.5304
```

The 6 most intense peaks (10° ≤ 2θ ≤ 90°), low angle first:
- 2θ 23.99, intensity 51
- 2θ 38.14, intensity 53
- 2θ 45.56, intensity 100
- 2θ 63.82, intensity 35
- 2θ 68.92, intensity 20
- 2θ 86.57, intensity 12